Pu2SbC: theoretical powder diffraction line list (copper Kα), based on a cell relaxed with PBE.
Peak positions follow from Bragg's law for the DFT cell and can differ from measured ones.

Largest 8 diffraction maxima, low angle first, 2θ from 10° to 80°:
h k l  2θ/deg  I_rel
1 1 1  24.53  24
1 3 0  29.77  98
0 2 2  33.28  100
1 1 2  35.48  82
2 0 0  36.56  46
2 2 2  50.27  38
1 5 2  53.59  23
1 3 4  68.98  19

Atomic structure:
Lattice parameters (Å, degrees): 4.9157 11.3673 6.1104 90.00 90.00 90.00
Space group Cmcm (No. 63)
One atom of each set of equivalent atoms:
Pu 0.0000 0.0000 0.0000 [4 per cell]
Pu 0.0000 0.2956 0.2500 [4 per cell]
Sb 0.0000 0.3822 0.7500 [4 per cell]
C 0.0000 0.1693 0.7500 [4 per cell]